Structure and calculated PXRD pattern of In2Pt2O7 (a cell relaxed with PBE; a wavelength of 1.5418 Å).

Peak list (10 most intense, 15° ≤ 2θ ≤ 90°, in order of falling intensity)
- 30.57 deg, rel. 100, (2 2 2)
- 51.00 deg, rel. 46, (4 4 0)
- 60.64 deg, rel. 43, (6 2 2)
- 35.44 deg, rel. 35, (4 0 0)
- 83.12 deg, rel. 18, (6 6 2)
- 85.79 deg, rel. 14, (8 4 0)
- 63.64 deg, rel. 10, (4 4 4)
- 15.15 deg, rel. 8, (1 1 1)
- 29.24 deg, rel. 7, (3 1 1)
- 75.01 deg, rel. 7, (8 0 0)

Cell: 10.130 10.130 10.130 Å, 90.00 90.00 90.00°
Space group Fd-3m (No. 227, origin choice 2)
One atom of each set of equivalent atoms:
1 In 0.000 0.000 0.000 [16 per cell]
2 Pt 0.000 0.000 0.500 [16 per cell]
3 O 0.092 0.375 0.875 [48 per cell]
4 O 0.125 0.125 0.125 [8 per cell]

=====

Structure and calculated PXRD pattern of RbIn3O5 (a cell relaxed with PBE; a wavelength of 1.5418 Å).

Peak list (10 most intense, 15° ≤ 2θ ≤ 90°, in order of falling intensity)
- 27.76 deg, rel. 100, (3 0 1)
- 32.40 deg, rel. 60, (1 1 3)
- 34.13 deg, rel. 51, (2 1 2)
- 56.76 deg, rel. 29, (5 1 3)
- 36.17 deg, rel. 28, (2 1 3)
- 30.14 deg, rel. 24, (1 1 2)
- 31.99 deg, rel. 22, (2 0 5)
- 31.55 deg, rel. 22, (0 0 6)
- 38.87 deg, rel. 21, (2 1 4)
- 62.66 deg, rel. 20, (3 2 1)

```
data_RbIn3O5
_symmetry_space_group_name_H-M 'P n m a'
_symmetry_Int_Tables_number 62
_cell_length_a 9.813
_cell_length_b 3.342
_cell_length_c 17.025
_cell_angle_alpha 90.00
_cell_angle_beta 90.00
_cell_angle_gamma 90.00
loop_
_symmetry_equiv_pos_as_xyz
'x,y,z'
'-x,-y,-z'
'-x+1/2,-y,z+1/2'
'x+1/2,y,-z+1/2'
'x+1/2,-y+1/2,-z+1/2'
'-x+1/2,y+1/2,z+1/2'
'-x,y+1/2,-z'
'x,-y+1/2,z'
loop_
_atom_site_label
_atom_site_type_symbol
_atom_site_fract_x
_atom_site_fract_y
_atom_site_fract_z
_atom_site_occupancy
Rb1 Rb 0.001 0.250 0.116 1
In1 In 0.138 0.750 0.352 1
In2 In 0.151 0.250 0.523 1
In3 In 0.155 0.750 0.697 1
O1 O 0.003 0.750 0.576 1
O2 O 0.023 0.250 0.731 1
O3 O 0.244 0.750 0.133 1
O4 O 0.246 0.250 0.308 1
O5 O 0.249 0.750 0.465 1
```